Entry 1:
Computed powder diffraction line list
Compound: TiTl5F9
Radiation: Cu Kα X-rays
Structure: the GGA-PBE geometry in the Materials Project

```
TiTl5F9
1.0
6.876 0.000 0.000
0.000 8.001 0.000
-0.001 0.000 11.146
Ti Tl F
2 10 18
direct
0.000 0.000 0.000
0.499 0.000 0.508
0.049 0.268 0.333
0.049 0.732 0.333
0.454 0.270 0.838
0.454 0.730 0.838
0.471 0.500 0.503
0.549 0.268 0.176
0.549 0.732 0.176
0.954 0.270 0.671
0.954 0.730 0.671
0.970 0.500 0.005
0.059 0.500 0.505
0.111 0.000 0.845
0.166 0.500 0.791
0.176 0.171 0.049
0.176 0.829 0.049
0.314 0.500 0.262
0.320 0.170 0.557
0.320 0.830 0.557
0.387 0.000 0.354
0.558 0.500 0.003
0.609 0.000 0.664
0.667 0.500 0.718
0.676 0.170 0.460
0.676 0.830 0.460
0.813 0.500 0.247
0.821 0.170 0.951
0.821 0.830 0.951
0.888 0.000 0.154
```

Main lines, in order of falling intensity (2θ from 10° to 90°):
| 2θ/deg | d (Å) | I (rel.) |
| --- | --- | --- |
| 27.28 | 3.269 | 100 |
| 27.00 | 3.303 | 76 |
| 25.92 | 3.438 | 43 |
| 27.44 | 3.250 | 36 |
| 38.10 | 2.362 | 35 |
| 35.46 | 2.531 | 35 |
| 48.60 | 1.873 | 32 |
| 53.72 | 1.706 | 25 |

***

Entry 2:
Computed powder diffraction line list
Compound: YTi3F15
Radiation: Cu Kα X-rays
Structure: the GGA-PBE geometry in the Materials Project

```
YTi3F15
1.0
6.145 0.000 0.000
0.000 10.357 0.000
-2.830 0.000 9.667
Y Ti F
2 6 30
direct
0.213 0.250 0.210
0.787 0.750 0.790
0.118 0.064 0.653
0.118 0.436 0.653
0.500 0.000 0.000
0.500 0.500 0.000
0.882 0.564 0.347
0.882 0.936 0.347
0.026 0.076 0.286
0.026 0.424 0.286
0.051 0.250 0.668
0.103 0.250 0.000
0.130 0.586 0.508
0.130 0.914 0.508
0.259 0.085 0.846
0.259 0.415 0.846
0.290 0.614 0.020
0.290 0.886 0.020
0.378 0.095 0.620
0.378 0.405 0.620
0.447 0.099 0.147
0.447 0.401 0.147
0.477 0.250 0.389
0.523 0.750 0.611
0.553 0.599 0.853
0.553 0.901 0.853
0.622 0.595 0.380
0.622 0.905 0.380
0.710 0.114 0.980
0.710 0.386 0.980
0.741 0.585 0.154
0.741 0.915 0.154
0.870 0.086 0.492
0.870 0.414 0.492
0.897 0.750 0.000
0.949 0.750 0.332
0.974 0.576 0.714
0.974 0.924 0.714
```

Main lines, in order of falling intensity (2θ from 10° to 90°):
| 2θ/deg | d (Å) | I (rel.) |
| --- | --- | --- |
| 23.00 | 3.867 | 100 |
| 17.30 | 5.125 | 60 |
| 21.98 | 4.043 | 41 |
| 15.24 | 5.812 | 28 |
| 26.94 | 3.310 | 23 |
| 27.43 | 3.251 | 21 |
| 44.82 | 2.022 | 20 |
| 12.53 | 7.067 | 17 |

***

Entry 3:
Computed powder diffraction line list
Compound: TiZnF4
Radiation: Cu Kα X-rays
Structure: the GGA-PBE geometry in the Materials Project

```
TiZnF4
1.0
3.641 0.000 0.000
0.000 3.641 0.000
0.000 0.000 5.183
Ti Zn F
1 1 4
direct
0.000 0.000 0.000
0.500 0.500 0.500
0.000 0.500 0.250
0.000 0.500 0.750
0.500 0.000 0.250
0.500 0.000 0.750
```

Main lines, in order of falling intensity (2θ from 10° to 90°):
| 2θ/deg | d (Å) | I (rel.) |
| --- | --- | --- |
| 30.00 | 2.979 | 100 |
| 49.94 | 1.826 | 59 |
| 50.11 | 1.820 | 29 |
| 59.51 | 1.553 | 25 |
| 59.20 | 1.561 | 13 |
| 81.18 | 1.185 | 10 |
| 73.59 | 1.287 | 8 |
| 81.46 | 1.182 | 5 |

***

Entry 4:
Computed powder diffraction line list
Compound: TlF
Radiation: Cu Kα X-rays
Structure: the GGA-PBE geometry in the Materials Project

```
TlF
1.0
0.000 2.841 2.841
2.841 0.000 2.841
2.841 2.841 0.000
Tl F
1 1
direct
0.000 0.000 0.000
0.500 0.500 0.500
```

Main lines, in order of falling intensity (2θ from 10° to 90°):
| 2θ/deg | d (Å) | I (rel.) |
| --- | --- | --- |
| 27.19 | 3.280 | 100 |
| 31.49 | 2.841 | 78 |
| 45.14 | 2.009 | 58 |
| 53.49 | 1.713 | 50 |
| 74.72 | 1.270 | 26 |
| 72.52 | 1.303 | 21 |
| 56.07 | 1.640 | 20 |
| 83.33 | 1.160 | 20 |